Structure and computed powder X-ray diffraction pattern of Rb2TeH12O10 (a PBE-relaxed structure; Cu Kα (λ = 1.5418 Å)).
Kinematic intensities with the Lorentz-polarization factor, no thermal factor.

The 10 most intense peaks (15° ≤ 2θ ≤ 90°), low angle first:
- 2θ 17.08, I 74
- 2θ 21.51, I 57
- 2θ 24.78, I 100
- 2θ 25.53, I 73
- 2θ 25.78, I 38
- 2θ 29.20, I 78
- 2θ 29.60, I 43
- 2θ 32.14, I 44
- 2θ 33.42, I 40
- 2θ 48.58, I 40

Atomic structure:
Cell lengths 7.1177, 8.4716, 9.4570 Å; angles 101.54, 97.83, 94.29 degrees
Space group P-1 (No. 2)
Symmetry-distinct sites (fractional):
Rb1 0.0636 0.0544 0.2043
Rb2 0.4341 0.6263 0.7062
Te1 0.3675 0.0711 0.6114
H1 0.0147 0.5599 0.1858
H2 0.0844 0.8604 0.4999
H3 0.1003 0.4525 0.3719
H4 0.1014 0.3541 0.6940
H5 0.1776 0.3315 0.4738
H6 0.2163 0.6625 0.0251
H7 0.2200 0.3716 0.0338
H8 0.2851 0.2104 0.9429
H9 0.3124 0.6433 0.1796
H10 0.3324 0.9314 0.9140
H11 0.3586 0.7458 0.4103
H12 0.4145 0.8860 0.0638
O1 0.0698 0.4623 0.7437
O2 0.1480 0.1800 0.5820
O3 0.2154 0.4075 0.4130
O4 0.2157 0.5886 0.0934
O5 0.2161 0.8521 0.5504
O6 0.2270 0.2548 0.0302
O7 0.3006 0.8641 0.9849
O8 0.3769 0.0712 0.8116
O9 0.4055 0.0557 0.4001
O10 0.4543 0.7227 0.3434


Structure and computed powder X-ray diffraction pattern of Rb2TaO5 (a PBE-relaxed structure; Cu Kα (λ = 1.5418 Å)).
Kinematic intensities with the Lorentz-polarization factor, no thermal factor.

The 10 most intense peaks (15° ≤ 2θ ≤ 90°), low angle first:
- 2θ 25.83, I 37
- 2θ 27.13, I 50
- 2θ 29.24, I 100
- 2θ 30.40, I 26
- 2θ 37.81, I 19
- 2θ 38.74, I 36
- 2θ 49.26, I 44
- 2θ 53.11, I 16
- 2θ 60.64, I 18
- 2θ 77.72, I 13

Atomic structure:
Cell lengths 6.5746, 6.5746, 4.0511 Å; angles 90.00, 90.00, 90.00 degrees
Space group P4/mmm (No. 123)
Symmetry-distinct sites (fractional):
Rb1 0.0000 0.5000 0.0000
Ta1 0.0000 0.0000 0.5000
O1 0.0000 0.0000 0.0000
O2 0.2109 0.2109 0.5000


Structure and computed powder X-ray diffraction pattern of PrSbIO4 (a PBE-relaxed structure; Cu Kα (λ = 1.5418 Å)).
Kinematic intensities with the Lorentz-polarization factor, no thermal factor.

The 10 most intense peaks (15° ≤ 2θ ≤ 90°), low angle first:
- 2θ 25.11, I 39
- 2θ 25.33, I 100
- 2θ 25.89, I 41
- 2θ 26.49, I 67
- 2θ 30.58, I 22
- 2θ 32.00, I 30
- 2θ 36.82, I 29
- 2θ 39.40, I 20
- 2θ 50.91, I 22
- 2θ 52.19, I 22

Atomic structure:
Cell lengths 12.7392, 6.7299, 7.3025 Å; angles 90.00, 103.77, 90.00 degrees
Space group C2/m (No. 12)
Symmetry-distinct sites (fractional):
Pr1 0.2058 0.0000 0.3315
Sb1 0.1295 0.0000 0.7533
I1 0.0219 0.5000 0.1884
O1 0.0220 0.0000 0.2905
O2 0.1831 0.2098 0.6202
O3 0.1950 0.0000 0.0132